1.
Simulated X-ray powder pattern
Compound: Pm7Ga3O2
Radiation: Cu Ka
Structure: a structure optimized by DFT (GGA-PBE)

```
12
Lattice="-2.403 2.403 12.647 2.403 -2.403 12.647 2.403 2.403 -12.647" Properties=species:S:1:pos:R:3 pbc="T T T"
Pm 0.000 0.000 0.000
Pm 2.403 0.000 2.458
Pm 0.000 0.000 5.143
Pm 2.403 0.000 10.189
Pm 0.000 2.403 2.458
Pm 0.000 0.000 20.151
Pm 0.000 2.403 10.189
Ga 0.000 0.000 8.180
Ga 0.000 0.000 12.647
Ga 0.000 0.000 17.115
O 0.000 0.000 2.522
O 0.000 0.000 22.772
```

Main lines, sorted by position (2θ = 15–90°):
- 2θ = 25.56°, d 3.484, I 13
- 2θ = 27.17°, d 3.282, I 20
- 2θ = 29.85°, d 2.994, I 90
- 2θ = 33.88°, d 2.646, I 100
- 2θ = 35.49°, d 2.529, I 36
- 2θ = 37.05°, d 2.426, I 13
- 2θ = 37.42°, d 2.403, I 78
- 2θ = 52.53°, d 1.742, I 46
- 2θ = 53.96°, d 1.699, I 27
- 2θ = 62.89°, d 1.478, I 22
- 2θ = 65.25°, d 1.430, I 30
- 2θ = 66.26°, d 1.411, I 23

---

2.
Simulated X-ray powder pattern
Compound: RbPm2GaO5
Radiation: Cu Ka
Structure: a structure optimized by DFT (GGA-PBE)

```
18
Lattice="-3.415 3.415 5.718 3.415 -3.415 5.718 3.415 3.415 -5.718" Properties=species:S:1:pos:R:3 pbc="T T T"
Rb 0.000 0.000 2.859
Rb 0.000 0.000 8.577
Pm 4.651 1.236 0.000
Pm 1.236 2.179 0.000
Pm 2.179 1.236 5.718
Pm -1.236 2.179 5.718
Ga 3.415 0.000 2.859
Ga 0.000 3.415 2.859
O 0.000 0.000 0.000
O 2.494 0.921 -1.504
O 2.494 -0.921 4.215
O 2.494 0.921 1.504
O 2.494 -0.921 7.222
O 0.000 0.000 5.718
O 0.921 4.336 -1.504
O 0.921 2.494 4.215
O 0.921 4.336 1.504
O 0.921 2.494 7.222
```

Main lines, sorted by position (2θ = 15–90°):
- 2θ = 15.50°, d 5.718, I 24
- 2θ = 30.29°, d 2.951, I 52
- 2θ = 30.49°, d 2.932, I 100
- 2θ = 31.28°, d 2.859, I 34
- 2θ = 37.24°, d 2.415, I 24
- 2θ = 37.74°, d 2.384, I 59
- 2θ = 41.82°, d 2.160, I 13
- 2θ = 49.40°, d 1.845, I 21
- 2θ = 49.80°, d 1.831, I 24
- 2θ = 55.19°, d 1.664, I 19
- 2θ = 56.10°, d 1.639, I 21
- 2θ = 60.98°, d 1.519, I 18